Diffraction record for Na4PtF10. The powder XRD pattern is calculated, not measured: it uses a GGA-PBE-relaxed structure and CuKα.
No peak broadening, texture or thermal motion is included.

Peak list (10 most intense, 2θ = 5–70°, in order of falling intensity)
| 2θ/deg | I/Imax |
| --- | --- |
| 28.58 | 100.0 |
| 19.30 | 86.5 |
| 14.72 | 72.9 |
| 47.40 | 55.6 |
| 20.88 | 40.5 |
| 56.64 | 25.1 |
| 47.80 | 21.8 |
| 41.68 | 18.6 |
| 55.94 | 16.6 |
| 47.06 | 13.8 |

```
data_Na4PtF10
_symmetry_space_group_name_H-M 'I 4/m'
_symmetry_Int_Tables_number 87
_symmetry_space_group_name_Hall '-I 4'
_cell_length_a 8.510
_cell_length_b 8.510
_cell_length_c 5.467
_cell_angle_alpha 90.00
_cell_angle_beta 90.00
_cell_angle_gamma 90.00
loop_
_atom_site_label
_atom_site_type_symbol
_atom_site_fract_x
_atom_site_fract_y
_atom_site_fract_z
_atom_site_occupancy
Na1 Na 0.087 0.686 0.000 1
Pt1 Pt 0.000 0.000 0.500 1
F1 F 0.000 0.500 0.250 1
F2 F 0.103 0.165 0.285 1
```